Structure and computed PXRD pattern of CoH6N2Cl2 (the PBE geometry in the Materials Project; Cu Kα).
No peak broadening, texture or thermal motion is included.

Cell and atoms:
a b c (Å): 5.954 5.954 3.837
angles (deg): 91.90 91.90 91.84
Atoms (fractional coordinates):
Co1 0.000 0.000 0.000
H1 0.190 0.385 0.210
H2 0.254 0.348 0.803
H3 0.393 0.214 0.108
H4 0.615 0.810 0.790
H5 0.652 0.746 0.197
H6 0.786 0.607 0.892
N1 0.237 0.266 0.030
N2 0.734 0.763 0.970
Cl1 0.191 0.809 0.500
Cl2 0.804 0.196 0.500

Main lines, sorted by position (10° ≤ 2θ ≤ 80°):
d = 5.947 Å, intensity 1000; d = 4.137 Å, intensity 277; d = 2.854 Å, intensity 469; d = 2.625 Å, intensity 152; d = 2.389 Å, intensity 103; d = 2.311 Å, intensity 92; d = 2.221 Å, intensity 164; d = 2.189 Å, intensity 145; d = 2.069 Å, intensity 105; d = 1.704 Å, intensity 80



Structure and computed PXRD pattern of KCoCl3 (the PBE geometry in the Materials Project; Cu Kα).
No peak broadening, texture or thermal motion is included.

Cell and atoms:
a b c (Å): 6.888 6.888 6.888
angles (deg): 60.60 60.60 60.60
Atoms (fractional coordinates):
K1 0.000 0.000 0.000
K2 0.500 0.500 0.500
Co1 0.255 0.255 0.255
Co2 0.755 0.755 0.755
Cl1 0.006 0.460 0.551
Cl2 0.051 0.960 0.506
Cl3 0.460 0.551 0.006
Cl4 0.506 0.051 0.960
Cl5 0.551 0.006 0.460
Cl6 0.960 0.506 0.051

Main lines, sorted by position (10° ≤ 2θ ≤ 80°):
d = 4.892 Å, intensity 491; d = 3.475 Å, intensity 278; d = 3.444 Å, intensity 323; d = 2.952 Å, intensity 143; d = 2.833 Å, intensity 224; d = 2.446 Å, intensity 1000; d = 2.180 Å, intensity 136; d = 2.000 Å, intensity 155; d = 1.737 Å, intensity 253; d = 1.722 Å, intensity 300